The following is a theoretical powder XRD pattern of Ta2AsW. It was derived from a structure optimized by DFT (PBE), using Cu Kα.

```
data_Ta2AsW
_cell_length_a 5.025
_cell_length_b 5.025
_cell_length_c 4.580
_cell_angle_alpha 109.98
_cell_angle_beta 109.98
_cell_angle_gamma 39.00
_symmetry_space_group_name_H-M 'P 1'
_symmetry_Int_Tables_number 1
loop_
_symmetry_equiv_pos_as_xyz
'x,y,z'
loop_
_atom_site_label
_atom_site_type_symbol
_atom_site_fract_x
_atom_site_fract_y
_atom_site_fract_z
Ta1 Ta 0.000 0.000 0.000
Ta2 Ta 0.239 0.239 0.730
As1 As 0.750 0.750 0.232
W1 W 0.490 0.490 0.473
```

Most intense lines, 2θ from 10° to 90°, by intensity:
d (Å)  I_rel
2.385  100.0
2.228  82.8
2.271  43.5
2.207  39.7
1.336  31.6
1.363  19.4
1.678  17.4
1.696  17.3
1.349  16.8
1.275  13.9